This entry pairs a crystal structure of KAg2OsSe4 with its theoretical powder XRD pattern. Radiation: Cu Ka. Structure: the PBE geometry in OQMD.
Peak positions follow from Bragg's law for the DFT cell and can differ from measured ones.

The 10 most intense peaks (10 to 90 degrees two-theta), sorted by position:
2theta  intensity
14.4  43
15.1  100
18.5  13
28.0  45
31.4  26
36.7  14
37.6  21
41.4  81
48.9  15
53.5  12

Cell and atoms:
abc: 7.449 10.112 10.112
angles: 142.50 90.00 90.00
Positions (direct):
K (0.250, 0.191, 0.809)
K (0.750, 0.809, 0.191)
Ag (0.000, 0.701, 0.701)
Ag (0.250, 0.147, 0.401)
Ag (0.500, 0.701, 0.701)
Ag (0.750, 0.401, 0.147)
Os (0.250, 0.692, 0.931)
Os (0.750, 0.931, 0.692)
Se (0.003, 0.446, 0.704)
Se (0.250, 0.003, 0.041)
Se (0.250, 0.767, 0.219)
Se (0.497, 0.446, 0.704)
Se (0.503, 0.704, 0.446)
Se (0.750, 0.041, 0.003)
Se (0.750, 0.219, 0.767)
Se (0.997, 0.704, 0.446)

This entry pairs a crystal structure of KAg3Te4Os with its theoretical powder XRD pattern. Radiation: Cu Ka. Structure: the PBE geometry in OQMD.
Peak positions follow from Bragg's law for the DFT cell and can differ from measured ones.

The 10 most intense peaks (10 to 90 degrees two-theta), sorted by position:
2theta  intensity
12.9  88
22.5  65
32.0  15
37.1  100
39.4  23
43.8  24
47.8  29
53.5  14
66.9  25
80.5  12

Cell and atoms:
abc: 6.855 6.855 6.855
angles: 90.00 90.00 90.00
Positions (direct):
K (0.000, 0.000, 0.000)
Ag (0.000, 0.500, 0.500)
Ag (0.500, 0.000, 0.500)
Ag (0.500, 0.500, 0.000)
Te (0.284, 0.284, 0.284)
Te (0.284, 0.716, 0.716)
Te (0.716, 0.284, 0.716)
Te (0.716, 0.716, 0.284)
Os (0.500, 0.500, 0.500)

This entry pairs a crystal structure of K2AgP with its theoretical powder XRD pattern. Radiation: Cu Ka. Structure: the PBE geometry in OQMD.
Peak positions follow from Bragg's law for the DFT cell and can differ from measured ones.

The 10 most intense peaks (10 to 90 degrees two-theta), sorted by position:
2theta  intensity
14.5  100
17.9  41
29.4  68
33.1  32
33.2  69
34.9  26
36.0  32
37.9  32
42.2  40
54.5  27

Cell and atoms:
abc: 7.734 9.892 6.023
angles: 90.00 90.00 90.00
Positions (direct):
K (0.141, 0.172, 0.002)
K (0.141, 0.828, 0.998)
K (0.359, 0.328, 0.502)
K (0.359, 0.672, 0.498)
K (0.641, 0.328, 0.998)
K (0.641, 0.672, 0.002)
K (0.859, 0.172, 0.498)
K (0.859, 0.828, 0.502)
Ag (0.000, 0.499, 0.750)
Ag (0.000, 0.501, 0.250)
Ag (0.500, 0.001, 0.250)
Ag (0.500, 0.999, 0.750)
P (0.247, 0.000, 0.500)
P (0.253, 0.500, 0.000)
P (0.747, 0.500, 0.500)
P (0.753, 0.000, 0.000)

This entry pairs a crystal structure of KRbAgP with its theoretical powder XRD pattern. Radiation: Cu Ka. Structure: the PBE geometry in OQMD.
Peak positions follow from Bragg's law for the DFT cell and can differ from measured ones.

The 10 most intense peaks (10 to 90 degrees two-theta), sorted by position:
2theta  intensity
14.3  68
27.0  40
28.8  100
32.4  71
32.6  72
34.2  33
35.5  34
37.3  29
41.5  28
53.5  35

Cell and atoms:
abc: 6.118 7.829 10.143
angles: 90.00 90.00 90.00
Positions (direct):
K (0.250, 0.140, 0.000)
K (0.250, 0.640, 0.500)
K (0.750, 0.360, 0.500)
K (0.750, 0.860, 0.000)
Rb (0.250, 0.140, 0.657)
Rb (0.250, 0.640, 0.157)
Rb (0.750, 0.360, 0.157)
Rb (0.750, 0.860, 0.657)
Ag (0.000, 0.000, 0.329)
Ag (0.000, 0.500, 0.829)
Ag (0.500, 0.000, 0.329)
Ag (0.500, 0.500, 0.829)
P (0.250, 0.248, 0.325)
P (0.250, 0.748, 0.825)
P (0.750, 0.252, 0.825)
P (0.750, 0.752, 0.325)

This entry pairs a crystal structure of KAg2PSe2S2 with its theoretical powder XRD pattern. Radiation: Cu Ka. Structure: the PBE geometry in OQMD.
Peak positions follow from Bragg's law for the DFT cell and can differ from measured ones.

The 10 most intense peaks (10 to 90 degrees two-theta), sorted by position:
2theta  intensity
18.2  42
20.7  35
27.7  97
27.9  100
30.9  31
33.5  26
37.4  36
46.9  35
47.2  40
50.2  57

Cell and atoms:
abc: 6.482 6.444 6.840
angles: 58.32 57.78 63.90
Positions (direct):
K (0.000, 0.000, 0.000)
Ag (0.233, 0.233, 0.267)
Ag (0.733, 0.733, 0.767)
P (0.503, 0.503, 0.497)
Se (0.163, 0.542, 0.458)
Se (0.542, 0.163, 0.837)
S (0.457, 0.815, 0.543)
S (0.815, 0.457, 0.185)

This entry pairs a crystal structure of K4Ag2SbP with its theoretical powder XRD pattern. Radiation: Cu Ka. Structure: the PBE geometry in OQMD.
Peak positions follow from Bragg's law for the DFT cell and can differ from measured ones.

The 10 most intense peaks (10 to 90 degrees two-theta), sorted by position:
2theta  intensity
14.0  100
17.3  80
26.4  26
28.4  64
31.9  70
32.2  77
34.5  42
36.6  51
40.8  56
51.6  28

Cell and atoms:
abc: 6.187 10.235 8.060
angles: 90.00 90.00 90.00
Positions (direct):
K (0.000, 0.168, 0.000)
K (0.000, 0.332, 0.500)
K (0.000, 0.668, 0.500)
K (0.000, 0.832, 0.000)
K (0.500, 0.178, 0.288)
K (0.500, 0.322, 0.788)
K (0.500, 0.678, 0.788)
K (0.500, 0.822, 0.288)
Ag (0.259, 0.000, 0.668)
Ag (0.259, 0.500, 0.168)
Ag (0.741, 0.000, 0.668)
Ag (0.741, 0.500, 0.168)
Sb (0.000, 0.000, 0.394)
Sb (0.000, 0.500, 0.894)
P (0.500, 0.000, 0.913)
P (0.500, 0.500, 0.413)

This entry pairs a crystal structure of KAg2TePSe3 with its theoretical powder XRD pattern. Radiation: Cu Ka. Structure: the PBE geometry in OQMD.
Peak positions follow from Bragg's law for the DFT cell and can differ from measured ones.

The 10 most intense peaks (10 to 90 degrees two-theta), sorted by position:
2theta  intensity
19.6  34
25.9  45
26.6  100
26.8  52
29.9  36
35.4  30
36.1  30
44.3  26
47.0  33
48.1  27

Cell and atoms:
abc: 9.079 9.956 6.694
angles: 90.00 130.76 90.00
Positions (direct):
K (0.000, 0.000, 0.000)
K (0.500, 0.500, 0.000)
Ag (0.497, 0.244, 0.485)
Ag (0.497, 0.756, 0.485)
Ag (0.997, 0.256, 0.485)
Ag (0.997, 0.744, 0.485)
Te (0.325, 0.500, 0.361)
Te (0.825, 0.000, 0.361)
P (0.473, 0.000, 0.960)
P (0.973, 0.500, 0.960)
Se (0.340, 0.186, 0.974)
Se (0.340, 0.814, 0.974)
Se (0.437, 0.000, 0.594)
Se (0.840, 0.314, 0.974)
Se (0.840, 0.686, 0.974)
Se (0.937, 0.500, 0.594)

This entry pairs a crystal structure of KAgPbSeS2 with its theoretical powder XRD pattern. Radiation: Cu Ka. Structure: the PBE geometry in OQMD.
Peak positions follow from Bragg's law for the DFT cell and can differ from measured ones.

The 10 most intense peaks (10 to 90 degrees two-theta), sorted by position:
2theta  intensity
12.0  100
28.2  25
28.9  23
30.0  30
31.7  26
33.1  26
34.0  18
40.0  19
41.4  12
45.8  11

Cell and atoms:
abc: 7.637 7.637 11.293
angles: 90.00 90.00 149.91
Positions (direct):
K (0.242, 0.758, 0.750)
K (0.758, 0.242, 0.250)
Ag (0.064, 0.936, 0.250)
Ag (0.936, 0.064, 0.750)
Pb (0.500, 0.500, 0.000)
Pb (0.500, 0.500, 0.500)
Se (0.439, 0.561, 0.250)
Se (0.561, 0.439, 0.750)
S (0.128, 0.872, 0.047)
S (0.128, 0.872, 0.453)
S (0.872, 0.128, 0.547)
S (0.872, 0.128, 0.953)

This entry pairs a crystal structure of KAg3PdS4 with its theoretical powder XRD pattern. Radiation: Cu Ka. Structure: the PBE geometry in OQMD.
Peak positions follow from Bragg's law for the DFT cell and can differ from measured ones.

The 10 most intense peaks (10 to 90 degrees two-theta), sorted by position:
2theta  intensity
14.3  85
24.9  66
28.8  49
32.3  27
41.2  100
43.8  21
48.7  28
53.2  16
67.5  19
75.0  28

Cell and atoms:
abc: 6.202 6.202 6.202
angles: 90.00 90.00 90.00
Positions (direct):
K (0.000, 0.000, 0.000)
Ag (0.000, 0.500, 0.500)
Ag (0.500, 0.000, 0.500)
Ag (0.500, 0.500, 0.000)
Pd (0.500, 0.500, 0.500)
S (0.280, 0.280, 0.280)
S (0.280, 0.720, 0.720)
S (0.720, 0.280, 0.720)
S (0.720, 0.720, 0.280)

This entry pairs a crystal structure of K2Ag2PtSe4 with its theoretical powder XRD pattern. Radiation: Cu Ka. Structure: the PBE geometry in OQMD.
Peak positions follow from Bragg's law for the DFT cell and can differ from measured ones.

The 10 most intense peaks (10 to 90 degrees two-theta), sorted by position:
2theta  intensity
14.1  100
16.6  49
19.5  26
29.3  29
29.6  28
31.3  45
33.0  45
35.6  25
40.9  51
41.6  59

Cell and atoms:
abc: 7.017 6.021 12.951
angles: 90.00 116.74 90.00
Positions (direct):
K (0.000, 0.000, 0.000)
K (0.000, 0.000, 0.500)
K (0.000, 0.459, 0.250)
K (0.000, 0.541, 0.750)
Ag (0.499, 0.248, 0.469)
Ag (0.499, 0.752, 0.969)
Ag (0.501, 0.248, 0.031)
Ag (0.501, 0.752, 0.531)
Pt (0.500, 0.247, 0.750)
Pt (0.500, 0.753, 0.250)
Se (0.263, 0.063, 0.815)
Se (0.263, 0.937, 0.315)
Se (0.266, 0.449, 0.571)
Se (0.266, 0.551, 0.071)
Se (0.734, 0.449, 0.929)
Se (0.734, 0.551, 0.429)
Se (0.737, 0.063, 0.685)
Se (0.737, 0.937, 0.185)

This entry pairs a crystal structure of KAgTePtSe2 with its theoretical powder XRD pattern. Radiation: Cu Ka. Structure: the PBE geometry in OQMD.
Peak positions follow from Bragg's law for the DFT cell and can differ from measured ones.

The 10 most intense peaks (10 to 90 degrees two-theta), sorted by position:
2theta  intensity
11.2  100
28.9  23
30.0  26
32.5  27
34.5  14
36.9  19
37.8  11
40.5  11
44.0  14
50.0  15

Cell and atoms:
abc: 8.143 8.143 11.025
angles: 90.00 90.00 152.90
Positions (direct):
K (0.239, 0.761, 0.750)
K (0.761, 0.239, 0.250)
Ag (0.086, 0.914, 0.250)
Ag (0.914, 0.086, 0.750)
Te (0.449, 0.551, 0.250)
Te (0.551, 0.449, 0.750)
Pt (0.500, 0.500, 0.000)
Pt (0.500, 0.500, 0.500)
Se (0.106, 0.894, 0.018)
Se (0.106, 0.894, 0.482)
Se (0.894, 0.106, 0.518)
Se (0.894, 0.106, 0.982)